Simulated powder XRD pattern of Ce2CoH6Ru for Cu Kα, 1.54184 Å, from the GGA-PBE geometry in Alexandria.
No peak broadening, texture or thermal motion is included.

The 10 most intense peaks (10 to 80 degrees two-theta), low angle first:
- 2θ 24.48, I = 7, hkl 2 0 0
- 2θ 34.74, I = 100, hkl 2 0 2
- 2θ 34.89, I = 49, hkl 2 2 0
- 2θ 49.71, I = 9, hkl 0 0 4
- 2θ 50.10, I = 9, hkl 0 4 0
- 2θ 50.25, I = 9, hkl 4 0 0
- 2θ 62.17, I = 18, hkl 2 2 4
- 2θ 62.47, I = 36, hkl 4 2 2
- 2θ 73.25, I = 6, hkl 0 4 4
- 2θ 73.37, I = 6, hkl 4 0 4

Cell and atoms:
```
data_Ce2CoH6Ru
_space_group_name_H-M_alt 'F m m m'
_space_group_IT_number 69
_space_group_name_Hall '-F 2 2'
_cell_length_a 7.2627
_cell_length_b 7.2831
_cell_length_c 7.3369
_cell_angle_alpha 90.00
_cell_angle_beta 90.00
_cell_angle_gamma 90.00
loop_
_atom_site_label
_atom_site_fract_x
_atom_site_fract_y
_atom_site_fract_z
_atom_site_occupancy
Ce1 0.2500 0.2500 0.2500 1
Co1 0.0000 0.0000 0.0000 1
H1 0.0000 0.0000 0.2414 1
H2 0.0000 0.2417 0.0000 1
H3 0.2416 0.0000 0.0000 1
Ru1 0.0000 0.0000 0.5000 1
```